1.
Starting from DFT lattice parameters and positions (PBE), the XRD peak list of HoSi3 was computed for Cu Kα X-rays.

The 10 most intense peaks (15 to 90 degrees two-theta), in order of falling intensity:
Position (°2θ), intensity, (hkl)
29.9, 100, 2 0 2
24.8, 82, 2 0 0
37.5, 74, 2 1 3
35.3, 62, 2 2 0
37.8, 62, 1 1 4
39.2, 58, 2 2 2
16.5, 48, 0 0 2
66.3, 41, 3 1 6
38.5, 37, 3 0 1
60.0, 34, 4 2 2

Cell and atoms:
```
data_HoSi3
_cell_length_a 7.1923
_cell_length_b 7.1923
_cell_length_c 10.7692
_cell_angle_alpha 90.00
_cell_angle_beta 90.00
_cell_angle_gamma 90.00
_symmetry_space_group_name_H-M 'I 4/m m m'
_symmetry_Int_Tables_number 139
_symmetry_space_group_name_Hall '-I 4 2'
loop_
_atom_site_label
_atom_site_fract_x
_atom_site_fract_y
_atom_site_fract_z
Ho1 0.0000 0.0000 0.1713
Ho2 0.0000 0.5000 0.2500
Si1 0.0000 0.3273 0.0000
Si2 0.1866 0.1866 0.3869
```

2.
Starting from DFT lattice parameters and positions (PBE), the XRD peak list of Ho3Si5 was computed for Cu Kα X-rays.

The 10 most intense peaks (15 to 90 degrees two-theta), in order of falling intensity:
Position (°2θ), intensity, (hkl)
34.7, 100, 2 0 2
23.4, 56, 1 3 1
30.2, 56, 1 3 3
40.7, 37, 1 3 5
45.7, 29, 2 6 0
26.7, 27, 0 0 4
62.8, 20, 3 3 5
55.7, 19, 3 3 3
77.4, 19, 4 6 2
53.7, 17, 2 6 4

Cell and atoms:
```
data_Ho3Si5
_cell_length_a 5.6153
_cell_length_b 16.8353
_cell_length_c 13.3607
_cell_angle_alpha 90.00
_cell_angle_beta 90.00
_cell_angle_gamma 90.00
_symmetry_space_group_name_H-M 'F d d 2'
_symmetry_Int_Tables_number 43
_symmetry_space_group_name_Hall 'F 2 -2d'
loop_
_atom_site_label
_atom_site_fract_x
_atom_site_fract_y
_atom_site_fract_z
Ho1 0.0000 0.0000 0.0000
Ho2 0.0035 0.1689 0.5049
Si1 0.0000 0.0000 0.4410
Si2 0.0103 0.3357 0.5871
Si3 0.0308 0.1759 0.9096
```

Repeat the second record exactly.
Starting from DFT lattice parameters and positions (PBE), the XRD peak list of Ho3Si5 was computed for Cu Kα X-rays.

The 10 most intense peaks (15 to 90 degrees two-theta), in order of falling intensity:
Position (°2θ), intensity, (hkl)
34.7, 100, 2 0 2
23.4, 56, 1 3 1
30.2, 56, 1 3 3
40.7, 37, 1 3 5
45.7, 29, 2 6 0
26.7, 27, 0 0 4
62.8, 20, 3 3 5
55.7, 19, 3 3 3
77.4, 19, 4 6 2
53.7, 17, 2 6 4

Cell and atoms:
```
data_Ho3Si5
_cell_length_a 5.6153
_cell_length_b 16.8353
_cell_length_c 13.3607
_cell_angle_alpha 90.00
_cell_angle_beta 90.00
_cell_angle_gamma 90.00
_symmetry_space_group_name_H-M 'F d d 2'
_symmetry_Int_Tables_number 43
_symmetry_space_group_name_Hall 'F 2 -2d'
loop_
_atom_site_label
_atom_site_fract_x
_atom_site_fract_y
_atom_site_fract_z
Ho1 0.0000 0.0000 0.0000
Ho2 0.0035 0.1689 0.5049
Si1 0.0000 0.0000 0.4410
Si2 0.0103 0.3357 0.5871
Si3 0.0308 0.1759 0.9096
```

Number 2 is which compound? Ho3Si5

What did the second record say?
Starting from DFT lattice parameters and positions (PBE), the XRD peak list of Ho3Si5 was computed for Cu Kα X-rays.

The 10 most intense peaks (15 to 90 degrees two-theta), in order of falling intensity:
Position (°2θ), intensity, (hkl)
34.7, 100, 2 0 2
23.4, 56, 1 3 1
30.2, 56, 1 3 3
40.7, 37, 1 3 5
45.7, 29, 2 6 0
26.7, 27, 0 0 4
62.8, 20, 3 3 5
55.7, 19, 3 3 3
77.4, 19, 4 6 2
53.7, 17, 2 6 4

Cell and atoms:
```
data_Ho3Si5
_cell_length_a 5.6153
_cell_length_b 16.8353
_cell_length_c 13.3607
_cell_angle_alpha 90.00
_cell_angle_beta 90.00
_cell_angle_gamma 90.00
_symmetry_space_group_name_H-M 'F d d 2'
_symmetry_Int_Tables_number 43
_symmetry_space_group_name_Hall 'F 2 -2d'
loop_
_atom_site_label
_atom_site_fract_x
_atom_site_fract_y
_atom_site_fract_z
Ho1 0.0000 0.0000 0.0000
Ho2 0.0035 0.1689 0.5049
Si1 0.0000 0.0000 0.4410
Si2 0.0103 0.3357 0.5871
Si3 0.0308 0.1759 0.9096
```